(1)
Structure and simulated XRD peak list of Sr5Li4 (a GGA-PBE-relaxed structure; CuKα).
Peak positions follow from Bragg's law for the DFT cell and can differ from measured ones.

Atomic structure:
Unit cell a=6.9634 b=6.9634 c=11.7564 alpha=109.39 beta=109.39 gamma=43.64
Element x y z (fractional)
Sr1 0.0000 0.0000 0.0000
Sr2 0.1104 0.1104 0.3933
Sr3 0.2451 0.2451 0.8265
Sr4 0.7549 0.7549 0.1735
Sr5 0.8896 0.8896 0.6067
Li1 0.3991 0.3991 0.3903
Li2 0.4514 0.4514 0.1701
Li3 0.5486 0.5486 0.8299
Li4 0.6009 0.6009 0.6097

Peak list (10 most intense, 2θ from 10° to 90°, low angle first)
two_theta  d (Å)  I_rel
18.7  4.758  64
23.5  3.787  74
25.5  3.488  46
26.5  3.368  90
26.9  3.312  100
27.7  3.220  35
28.6  3.121  39
34.7  2.588  33
42.3  2.137  31
43.8  2.069  25

=====

(2)
Structure and simulated XRD peak list of NdDyGe2Pd2 (a GGA-PBE-relaxed structure; CuKα).
Peak positions follow from Bragg's law for the DFT cell and can differ from measured ones.

Atomic structure:
Unit cell a=4.4542 b=4.4542 c=7.2687 alpha=90.00 beta=90.00 gamma=120.00
Element x y z (fractional)
Nd1 0.0000 0.0000 0.0000
Dy1 0.0000 0.0000 0.5000
Ge1 0.3333 0.6667 0.2644
Ge2 0.6667 0.3333 0.7356
Pd1 0.3333 0.6667 0.7139
Pd2 0.6667 0.3333 0.2861

Peak list (10 most intense, 2θ from 10° to 90°, low angle first)
two_theta  d (Å)  I_rel
23.1  3.857  8
33.9  2.645  100
40.5  2.227  60
50.2  1.817  8
53.8  1.704  27
66.4  1.408  20
69.5  1.353  25
73.7  1.286  10
83.7  1.156  5
87.6  1.114  7

=====

(3)
Structure and simulated XRD peak list of TlTcAg (a GGA-PBE-relaxed structure; CuKα).
Peak positions follow from Bragg's law for the DFT cell and can differ from measured ones.

Atomic structure:
Unit cell a=2.9486 b=2.9486 c=13.1349 alpha=90.00 beta=90.00 gamma=90.00
Element x y z (fractional)
Tl1 0.0000 0.0000 0.0000
Tl2 0.5000 0.5000 0.5000
Tc1 0.0000 0.0000 0.3367
Tc2 0.5000 0.5000 0.8367
Ag1 0.0000 0.0000 0.6842
Ag2 0.5000 0.5000 0.1842

Peak list (10 most intense, 2θ from 10° to 90°, low angle first)
two_theta  d (Å)  I_rel
13.5  6.567  9
31.1  2.877  10
36.7  2.446  100
41.2  2.189  17
43.4  2.085  32
61.4  1.510  21
63.1  1.474  10
72.2  1.308  12
75.3  1.263  24
78.2  1.223  10

=====

(4)
Structure and simulated XRD peak list of Ni3Se3I (a GGA-PBE-relaxed structure; CuKα).
Peak positions follow from Bragg's law for the DFT cell and can differ from measured ones.

Atomic structure:
Unit cell a=8.6340 b=8.6340 c=4.9193 alpha=90.00 beta=90.00 gamma=120.00
Element x y z (fractional)
Ni1 0.1529 0.8422 0.2500
Ni2 0.1578 0.3107 0.2500
Ni3 0.3107 0.1529 0.7500
Ni4 0.6893 0.8471 0.2500
Ni5 0.8422 0.6893 0.7500
Ni6 0.8471 0.1578 0.7500
Se1 0.1527 0.8429 0.7500
Se2 0.1571 0.3098 0.7500
Se3 0.3098 0.1527 0.2500
Se4 0.6902 0.8473 0.7500
Se5 0.8429 0.6902 0.2500
Se6 0.8473 0.1571 0.2500
I1 0.3333 0.6667 0.2500
I2 0.6667 0.3333 0.7500

Peak list (10 most intense, 2θ from 10° to 90°, low angle first)
two_theta  d (Å)  I_rel
11.8  7.477  15
21.6  4.110  32
23.8  3.739  100
30.0  2.977  30
36.5  2.460  45
36.7  2.451  14
41.9  2.158  82
44.1  2.055  37
56.7  1.622  65
87.8  1.112  17

=====

(5)
Structure and simulated XRD peak list of TbPr6Dy2 (a GGA-PBE-relaxed structure; CuKα).
Peak positions follow from Bragg's law for the DFT cell and can differ from measured ones.

Atomic structure:
Unit cell a=10.1358 b=10.1358 c=3.6878 alpha=90.00 beta=90.00 gamma=124.06
Element x y z (fractional)
Tb1 0.0000 0.0000 0.0000
Pr1 0.1592 0.4901 0.0000
Pr2 0.3165 0.3165 0.5000
Pr3 0.4901 0.1592 0.0000
Pr4 0.5099 0.8408 0.0000
Pr5 0.6835 0.6835 0.5000
Pr6 0.8408 0.5099 0.0000
Dy1 0.1764 0.8236 0.5000
Dy2 0.8236 0.1764 0.5000

Peak list (10 most intense, 2θ from 10° to 90°, low angle first)
two_theta  d (Å)  I_rel
28.6  3.120  36
30.0  2.981  100
32.3  2.771  36
36.8  2.442  19
37.9  2.373  20
51.5  1.775  12
53.2  1.722  11
56.6  1.626  18
58.1  1.587  10
58.9  1.569  11